The following is a theoretical X-ray powder pattern of Mn4O7F. It was derived from a DFT-relaxed cell (GGA+U, Alexandria), using CuKα.

Peak list (8 most intense, 2θ = 10–90°, low angle first)
Position (°2θ), d_spacing, intensity
25.8, 3.458, 57
31.5, 2.840, 100
37.5, 2.396, 22
42.8, 2.111, 16
44.9, 2.021, 19
54.4, 1.687, 14
56.3, 1.633, 39
65.8, 1.419, 17

Structure:
Unit cell a=7.3942 b=7.3942 c=4.4650 alpha=90.08 beta=90.08 gamma=95.31
Sites, in units of the cell vectors:
Mn1 0.0000 0.0000 0.0000
Mn2 0.1166 0.3963 0.9765
Mn3 0.2513 0.7487 0.5000
Mn4 0.3426 0.1463 0.4862
Mn5 0.5037 0.4963 0.0000
Mn6 0.6037 0.8834 0.0235
Mn7 0.7531 0.2469 0.5000
Mn8 0.8537 0.6574 0.5138
O1 0.0365 0.7929 0.2671
O2 0.0725 0.6009 0.7249
O3 0.1454 0.1838 0.2242
O4 0.2071 0.9635 0.7329
O5 0.2887 0.5387 0.2292
O6 0.3243 0.3529 0.7582
O7 0.3991 0.9275 0.2751
O8 0.4613 0.7113 0.7708
O9 0.5346 0.2875 0.2678
O10 0.6471 0.6757 0.2418
O11 0.7125 0.4654 0.7322
O12 0.7866 0.0371 0.2366
O13 0.8162 0.8546 0.7758
O14 0.9629 0.2134 0.7634
F1 0.5592 0.0887 0.7600
F2 0.9113 0.4408 0.2400